# 1
Starting from a structure optimized by DFT (GGA-PBE), the X-ray powder pattern of PPd3 was simulated for copper Kα.

Crystal structure
Unit cell a=6.054 b=7.553 c=5.262 alpha=90.00 beta=90.00 gamma=90.00
Atoms (fractional coordinates):
P 0.118 0.250 0.043
P 0.382 0.750 0.543
P 0.618 0.250 0.457
P 0.882 0.750 0.957
Pd 0.028 0.750 0.369
Pd 0.175 0.563 0.837
Pd 0.175 0.937 0.837
Pd 0.325 0.063 0.337
Pd 0.325 0.437 0.337
Pd 0.472 0.250 0.869
Pd 0.528 0.750 0.131
Pd 0.675 0.563 0.663
Pd 0.675 0.937 0.663
Pd 0.825 0.063 0.163
Pd 0.825 0.437 0.163
Pd 0.972 0.250 0.631

The 12 most intense peaks (2θ = 10–80°), sorted by position:
d (Å), two_theta, I_rel
2.737, 32.7, 43
2.625, 34.2, 42
2.479, 36.2, 59
2.413, 37.3, 65
2.362, 38.1, 71
2.299, 39.2, 80
2.271, 39.7, 100
2.156, 41.9, 68
2.126, 42.5, 43
2.033, 44.6, 30
1.884, 48.3, 35
1.351, 69.6, 51

=====

# 2
Starting from a structure optimized by DFT (GGA-PBE), the X-ray powder pattern of CsRb2AuBr6 was simulated for copper Kα.

Crystal structure
Unit cell a=8.459 b=8.459 c=8.459 alpha=60.00 beta=60.00 gamma=60.00
Atoms (fractional coordinates):
Cs 0.000 0.000 0.000
Rb 0.250 0.250 0.250
Rb 0.750 0.750 0.750
Au 0.500 0.500 0.500
Br 0.277 0.277 0.723
Br 0.277 0.723 0.277
Br 0.277 0.723 0.723
Br 0.723 0.277 0.277
Br 0.723 0.277 0.723
Br 0.723 0.723 0.277

The 12 most intense peaks (2θ = 10–80°), sorted by position:
d (Å), two_theta, I_rel
6.907, 12.8, 23
5.981, 14.8, 62
4.229, 21.0, 65
3.453, 25.8, 21
2.991, 29.9, 100
2.675, 33.5, 27
2.442, 36.8, 25
2.115, 42.8, 68
1.891, 48.1, 21
1.727, 53.0, 22
1.599, 57.7, 21
1.337, 70.4, 25

=====

# 3
Starting from a structure optimized by DFT (GGA-PBE), the X-ray powder pattern of Cu2SnSe4 was simulated for copper Kα.

Crystal structure
Unit cell a=6.666 b=6.666 c=6.666 alpha=130.07 beta=130.07 gamma=73.29
Atoms (fractional coordinates):
Cu 0.250 0.750 0.500
Cu 0.750 0.250 0.500
Sn 0.000 0.000 0.000
Se 0.151 0.593 0.000
Se 0.407 0.407 0.558
Se 0.593 0.151 0.000
Se 0.849 0.849 0.442

The 12 most intense peaks (2θ = 10–80°), sorted by position:
d (Å), two_theta, I_rel
4.980, 17.8, 11
3.192, 28.0, 100
3.012, 29.7, 14
2.449, 36.7, 19
1.989, 45.6, 23
1.938, 46.9, 45
1.847, 49.3, 7
1.688, 54.3, 26
1.627, 56.6, 13
1.430, 65.3, 7
1.407, 66.5, 6
1.260, 75.5, 14

=====

# 4
Starting from a structure optimized by DFT (GGA-PBE), the X-ray powder pattern of Rb3HoO3 was simulated for copper Kα.

Crystal structure
Unit cell a=7.340 b=7.340 c=7.292 alpha=94.81 beta=94.81 gamma=116.43
Atoms (fractional coordinates):
Rb 0.206 0.794 0.000
Rb 0.261 0.739 0.500
Rb 0.363 0.363 0.143
Rb 0.637 0.637 0.857
Rb 0.739 0.261 0.500
Rb 0.794 0.206 0.000
Ho 0.177 0.177 0.649
Ho 0.823 0.823 0.351
O 0.102 0.102 0.346
O 0.169 0.445 0.768
O 0.445 0.169 0.768
O 0.555 0.831 0.232
O 0.831 0.555 0.232
O 0.898 0.898 0.654

The 12 most intense peaks (2θ = 10–80°), sorted by position:
d (Å), two_theta, I_rel
5.193, 17.1, 55
3.362, 26.5, 40
3.349, 26.6, 42
3.256, 27.4, 67
3.165, 28.2, 31
3.119, 28.6, 100
2.857, 31.3, 30
2.826, 31.7, 32
2.478, 36.2, 31
2.471, 36.4, 33
1.738, 52.7, 26
1.730, 52.9, 40

=====

# 5
Starting from a structure optimized by DFT (GGA-PBE), the X-ray powder pattern of Nb5GaSn2 was simulated for copper Kα.

Crystal structure
Unit cell a=8.016 b=8.016 c=8.016 alpha=96.05 beta=96.05 gamma=142.12
Atoms (fractional coordinates):
Nb 0.071 0.782 0.853
Nb 0.218 0.071 0.288
Nb 0.250 0.750 0.500
Nb 0.282 0.571 0.853
Nb 0.429 0.282 0.712
Nb 0.571 0.718 0.288
Nb 0.718 0.429 0.147
Nb 0.750 0.250 0.500
Nb 0.782 0.929 0.712
Nb 0.929 0.218 0.147
Ga 0.250 0.250 0.000
Ga 0.750 0.750 0.000
Sn 0.169 0.331 0.500
Sn 0.331 0.831 0.162
Sn 0.669 0.169 0.838
Sn 0.831 0.669 0.500

The 12 most intense peaks (2θ = 10–80°), sorted by position:
d (Å), two_theta, I_rel
2.602, 34.5, 19
2.582, 34.7, 25
2.527, 35.5, 17
2.398, 37.5, 35
2.341, 38.5, 34
2.326, 38.7, 100
2.145, 42.1, 22
1.860, 49.0, 10
1.813, 50.3, 10
1.443, 64.6, 22
1.301, 72.7, 13
1.291, 73.3, 12

=====

# 6
Starting from a structure optimized by DFT (GGA-PBE), the X-ray powder pattern of PbI2 was simulated for copper Kα.

Crystal structure
Unit cell a=22.112 b=22.112 c=22.112 alpha=12.16 beta=12.16 gamma=12.16
Atoms (fractional coordinates):
Pb 0.000 0.000 0.000
Pb 0.444 0.444 0.444
Pb 0.556 0.556 0.556
I 0.082 0.082 0.082
I 0.193 0.193 0.193
I 0.305 0.305 0.305
I 0.695 0.695 0.695
I 0.807 0.807 0.807
I 0.918 0.918 0.918

The 12 most intense peaks (2θ = 10–80°), sorted by position:
d (Å), two_theta, I_rel
7.315, 12.1, 79
3.638, 24.5, 96
3.453, 25.8, 22
3.357, 26.6, 71
3.165, 28.2, 27
2.888, 31.0, 54
2.556, 35.1, 34
2.341, 38.5, 100
2.230, 40.5, 27
1.689, 54.3, 20
1.441, 64.7, 38
1.352, 69.6, 20

=====

# 7
Starting from a structure optimized by DFT (GGA-PBE), the X-ray powder pattern of Na2MgTiP2SO12 was simulated for copper Kα.

Crystal structure
Unit cell a=8.752 b=8.752 c=8.972 alpha=119.66 beta=119.66 gamma=60.08
Atoms (fractional coordinates):
Na 0.073 0.927 0.500
Na 0.345 0.810 0.247
Na 0.810 0.345 0.747
Na 0.927 0.073 0.000
Mg 0.460 0.960 0.677
Mg 0.960 0.460 0.177
Ti 0.152 0.666 0.792
Ti 0.666 0.152 0.292
P 0.054 0.266 0.472
P 0.266 0.054 0.972
P 0.765 0.850 0.480
P 0.850 0.765 0.980
S 0.356 0.555 0.485
S 0.555 0.356 0.985
O 0.020 0.287 0.299
O 0.032 0.754 0.967
O 0.088 0.217 0.999
O 0.090 0.448 0.641
O 0.196 0.526 0.322
O 0.217 0.088 0.499
O 0.255 0.878 0.968
O 0.287 0.020 0.799
O 0.325 0.588 0.650
O 0.383 0.718 0.503
O 0.388 0.530 0.972
O 0.448 0.090 0.141
O 0.526 0.196 0.822
O 0.530 0.388 0.472
O 0.588 0.325 0.150
O 0.589 0.889 0.503
O 0.687 0.805 0.817
O 0.718 0.383 0.003
O 0.754 0.032 0.467
O 0.805 0.687 0.317
O 0.827 0.944 0.158
O 0.878 0.255 0.468
O 0.889 0.589 0.003
O 0.944 0.827 0.658

The 12 most intense peaks (2θ = 10–80°), sorted by position:
d (Å), two_theta, I_rel
6.268, 14.1, 20
4.453, 19.9, 16
4.378, 20.3, 16
3.771, 23.6, 100
3.746, 23.7, 51
3.134, 28.5, 17
2.842, 31.5, 32
2.830, 31.6, 28
2.818, 31.7, 28
2.804, 31.9, 27
2.529, 35.5, 25
1.655, 55.5, 16

=====

# 8
Starting from a structure optimized by DFT (GGA-PBE), the X-ray powder pattern of Lu3Mg was simulated for copper Kα.

Crystal structure
Unit cell a=6.864 b=6.864 c=5.471 alpha=90.00 beta=90.00 gamma=120.00
Atoms (fractional coordinates):
Lu 0.168 0.337 0.250
Lu 0.168 0.832 0.250
Lu 0.337 0.168 0.750
Lu 0.663 0.832 0.250
Lu 0.832 0.168 0.750
Lu 0.832 0.663 0.750
Mg 0.333 0.667 0.750
Mg 0.667 0.333 0.250

The 12 most intense peaks (2θ = 10–80°), sorted by position:
d (Å), two_theta, I_rel
5.945, 14.9, 7
4.026, 22.1, 23
3.432, 26.0, 10
2.972, 30.1, 24
2.736, 32.7, 25
2.612, 34.3, 100
2.078, 43.5, 7
2.013, 45.0, 16
1.716, 53.4, 19
1.554, 59.5, 21
1.454, 64.1, 22
1.434, 65.0, 16